The following is a simulated X-ray diffraction stick pattern of ZnCrP2O7. It was derived from the PBE+U geometry in the Materials Project, using Cu Kα X-rays.

Most intense lines, 2θ = 10–90°, low angle first:
2θ/deg  I/Imax
20.09  9
28.85  35
29.19  100
29.42  33
34.22  19
34.87  9
42.05  12
42.25  10
56.14  15
57.85  10

Atomic structure:
```
ZnCrP2O7
1.0
5.517 0.000 0.000
2.041 6.196 0.000
0.317 1.167 7.497
Zn Cr P O
2 2 4 14
Direct
0.172 0.343 0.356 Zn
0.828 0.657 0.644 Zn
0.218 0.845 0.823 Cr
0.782 0.155 0.177 Cr
0.282 0.798 0.386 P
0.313 0.318 0.903 P
0.687 0.682 0.097 P
0.718 0.202 0.614 P
0.112 0.649 0.433 O
0.122 0.038 0.324 O
0.139 0.549 0.829 O
0.195 0.142 0.885 O
0.407 0.307 0.094 O
0.428 0.715 0.211 O
0.467 0.780 0.536 O
0.533 0.220 0.464 O
0.572 0.285 0.789 O
0.593 0.693 0.906 O
0.805 0.858 0.115 O
0.861 0.451 0.171 O
0.878 0.962 0.676 O
0.888 0.351 0.567 O
```

The following is a simulated X-ray diffraction stick pattern of TiBi8WBr2O16. It was derived from the PBE+U geometry in the Materials Project, using Cu Kα X-rays.

Most intense lines, 2θ = 10–90°, low angle first:
2θ/deg  I/Imax
23.37  18
28.96  99
29.15  100
31.92  35
32.31  36
36.62  22
46.05  35
49.36  27
55.20  22
55.80  16

Atomic structure:
```
TiBi8WBr2O16
1.0
14.956 -2.804 0.000
14.956 2.804 0.000
-0.975 0.000 5.456
Ti Bi W Br O
1 8 1 2 16
Direct
0.000 0.000 0.000 Ti
0.048 0.133 0.622 Bi
0.173 0.182 0.186 Bi
0.321 0.324 0.333 Bi
0.353 0.470 0.927 Bi
0.530 0.647 0.073 Bi
0.676 0.679 0.667 Bi
0.818 0.827 0.814 Bi
0.867 0.952 0.378 Bi
0.525 0.475 0.500 W
0.256 0.245 0.749 Br
0.755 0.744 0.251 Br
0.010 0.865 0.025 O
0.109 0.610 0.115 O
0.114 0.608 0.618 O
0.135 0.990 0.975 O
0.292 0.680 0.728 O
0.320 0.708 0.272 O
0.390 0.891 0.885 O
0.392 0.886 0.382 O
0.506 0.367 0.347 O
0.610 0.107 0.103 O
0.615 0.104 0.600 O
0.633 0.494 0.653 O
0.782 0.192 0.735 O
0.808 0.218 0.265 O
0.893 0.390 0.897 O
0.896 0.385 0.400 O
```

The following is a simulated X-ray diffraction stick pattern of Hf3NiF6. It was derived from the PBE+U geometry in the Materials Project, using Cu Kα X-rays.

Most intense lines, 2θ = 10–90°, low angle first:
2θ/deg  I/Imax
10.19  100
15.42  81
15.85  64
17.66  63
20.46  83
26.26  34
30.92  53
31.92  36
32.10  26
39.32  29

Atomic structure:
```
Hf3NiF6
1.0
6.135 0.000 0.000
-3.015 6.854 0.000
-0.050 -1.211 8.683
Hf Ni F
3 1 6
Direct
0.000 0.000 0.000 Hf
0.000 0.500 0.500 Hf
0.500 0.000 0.000 Hf
0.000 0.500 0.000 Ni
0.018 0.438 0.282 F
0.128 0.274 0.959 F
0.339 0.727 0.041 F
0.661 0.273 0.959 F
0.872 0.726 0.041 F
0.982 0.562 0.718 F
```

The following is a simulated X-ray diffraction stick pattern of SrNiP2O8. It was derived from the PBE+U geometry in the Materials Project, using Cu Kα X-rays.

Most intense lines, 2θ = 10–90°, low angle first:
2θ/deg  I/Imax
13.96  50
21.05  55
22.32  68
27.67  100
27.97  28
30.84  54
31.77  47
32.37  29
32.72  29
33.28  35

Atomic structure:
```
SrNiP2O8
1.0
5.624 0.000 0.000
-1.206 6.957 0.000
-1.697 -3.658 8.137
Sr Ni P O
2 2 4 16
Direct
0.248 0.213 0.453 Sr
0.752 0.787 0.547 Sr
0.166 0.851 0.053 Ni
0.834 0.149 0.947 Ni
0.102 0.566 0.258 P
0.348 0.026 0.803 P
0.652 0.974 0.197 P
0.898 0.434 0.742 P
0.090 0.396 0.088 O
0.130 0.950 0.870 O
0.139 0.464 0.690 O
0.153 0.786 0.251 O
0.227 0.007 0.632 O
0.317 0.556 0.386 O
0.444 0.099 0.204 O
0.482 0.755 0.070 O
0.518 0.245 0.930 O
0.556 0.901 0.796 O
0.683 0.444 0.614 O
0.773 0.993 0.368 O
0.847 0.214 0.749 O
0.861 0.536 0.310 O
0.870 0.050 0.130 O
0.910 0.604 0.912 O
```

The following is a simulated X-ray diffraction stick pattern of Mn6O5F7. It was derived from the PBE+U geometry in the Materials Project, using Cu Kα X-rays.

Most intense lines, 2θ = 10–90°, low angle first:
2θ/deg  I/Imax
23.76  59
25.11  50
29.27  52
29.47  56
30.48  100
52.27  25
52.52  41
54.67  35
62.29  23
64.95  23

Atomic structure:
```
Mn6O5F7
1.0
4.716 0.000 0.000
0.318 5.745 0.000
0.066 0.094 15.635
Mn O F
12 10 14
Direct
0.000 0.000 0.000 Mn
0.000 0.010 0.664 Mn
0.010 0.724 0.832 Mn
0.017 0.720 0.497 Mn
0.021 0.043 0.341 Mn
0.023 0.711 0.159 Mn
0.466 0.527 0.988 Mn
0.473 0.192 0.493 Mn
0.485 0.186 0.833 Mn
0.493 0.514 0.654 Mn
0.498 0.507 0.323 Mn
0.514 0.209 0.158 Mn
0.211 0.965 0.892 O
0.220 0.964 0.559 O
0.222 0.744 0.052 O
0.266 0.479 0.885 O
0.272 0.473 0.547 O
0.290 0.471 0.210 O
0.299 0.253 0.384 O
0.785 0.981 0.442 O
0.786 0.978 0.108 O
0.787 0.976 0.771 O
0.251 0.749 0.721 F
0.254 0.981 0.229 F
0.262 0.753 0.386 F
0.268 0.244 0.715 F
0.274 0.241 0.053 F
0.721 0.482 0.092 F
0.723 0.231 0.600 F
0.734 0.245 0.945 F
0.743 0.481 0.769 F
0.743 0.746 0.937 F
0.756 0.242 0.262 F
0.763 0.495 0.434 F
0.773 0.744 0.611 F
0.798 0.736 0.270 F
```

The following is a simulated X-ray diffraction stick pattern of Mo2P3O12. It was derived from the PBE+U geometry in the Materials Project, using Cu Kα X-rays.

Most intense lines, 2θ = 10–90°, low angle first:
2θ/deg  I/Imax
14.18  20
20.10  100
23.61  41
28.57  36
32.04  21
35.18  40
45.93  23
48.31  14
54.98  32
61.17  12

Atomic structure:
```
Mo2P3O12
1.0
4.419 2.551 7.210
-4.419 2.551 7.210
0.000 -5.103 7.210
Mo P O
4 6 24
Direct
0.108 0.108 0.108 Mo
0.389 0.389 0.389 Mo
0.611 0.611 0.611 Mo
0.892 0.892 0.892 Mo
0.000 0.288 0.712 P
0.211 0.789 0.500 P
0.288 0.712 0.000 P
0.500 0.211 0.789 P
0.712 0.000 0.288 P
0.789 0.500 0.211 P
0.030 0.820 0.665 O
0.045 0.249 0.878 O
0.122 0.751 0.955 O
0.164 0.304 0.531 O
0.180 0.970 0.335 O
0.239 0.628 0.460 O
0.249 0.878 0.045 O
0.304 0.531 0.164 O
0.335 0.180 0.970 O
0.372 0.761 0.540 O
0.460 0.239 0.628 O
0.469 0.696 0.836 O
0.531 0.164 0.304 O
0.540 0.372 0.761 O
0.628 0.460 0.239 O
0.665 0.030 0.820 O
0.696 0.836 0.469 O
0.751 0.955 0.122 O
0.761 0.540 0.372 O
0.820 0.665 0.030 O
0.836 0.469 0.696 O
0.878 0.045 0.249 O
0.955 0.122 0.751 O
0.970 0.335 0.180 O
```